This entry pairs a crystal structure of KPrSiSe4 with its theoretical PXRD pattern. Radiation: Cu Kα X-rays. Structure: a DFT-relaxed cell (GGA-PBE, the Materials Project).
Kinematic intensities with the Lorentz-polarization factor, no thermal factor.

Atomic structure:
abc: 6.870 7.082 9.179
angles: 90.00 107.58 90.00
Fractional coordinates of all 14 atoms:
1 K 0.238 0.000 0.435
2 K 0.762 0.500 0.565
3 Pr 0.271 0.011 0.950
4 Pr 0.729 0.511 0.050
5 Si 0.282 0.477 0.179
6 Si 0.718 0.977 0.821
7 Se 0.085 0.475 0.338
8 Se 0.089 0.427 0.930
9 Se 0.475 0.743 0.770
10 Se 0.479 0.746 0.213
11 Se 0.521 0.246 0.787
12 Se 0.525 0.243 0.230
13 Se 0.911 0.927 0.070
14 Se 0.915 0.975 0.662

Main lines, in order of rising 2θ (5 to 70 degrees two-theta):
d (Å), 2theta, intensity
8.750, 10.11, 100
3.217, 27.73, 33
3.113, 28.68, 87
2.929, 30.52, 41
2.848, 31.41, 27
2.753, 32.53, 33
2.730, 32.81, 42
2.405, 37.39, 40